(1)
The following is a calculated XRD peak list of SmErCF2. It was derived from DFT lattice parameters and positions (PBE), using Cu Ka.

Largest 6 diffraction maxima, in order of rising 2θ, 10 to 90 degrees two-theta:
| d [Å] | I_rel |
| --- | --- |
| 3.192 | 27 |
| 3.179 | 32 |
| 2.846 | 100 |
| 2.252 | 40 |
| 1.836 | 31 |
| 1.768 | 28 |

Atomic structure:
Cell: 3.6713 3.6713 6.3832 Å, 90.00 90.00 120.00°
Element x y z (fractional)
Sm  0.0000  0.0000  0.0000
Er  0.3333  0.6667  0.5727
C  0.6667  0.3333  0.7836
F  0.0000  0.0000  0.4162
F  0.3333  0.6667  0.1905

---

(2)
The following is a calculated XRD peak list of FeSbPdPt. It was derived from DFT lattice parameters and positions (PBE), using Cu Ka.

Largest 6 diffraction maxima, in order of rising 2θ, 10 to 90 degrees two-theta:
| d [Å] | I_rel |
| --- | --- |
| 3.688 | 18 |
| 2.259 | 100 |
| 1.926 | 10 |
| 1.597 | 17 |
| 1.304 | 34 |
| 1.129 | 11 |

Atomic structure:
Cell: 4.5172 4.5172 4.5172 Å, 60.00 60.00 60.00°
Element x y z (fractional)
Fe  0.0000  0.0000  0.0000
Sb  0.7500  0.7500  0.7500
Pd  0.2500  0.2500  0.2500
Pt  0.5000  0.5000  0.5000

---

(3)
The following is a calculated XRD peak list of KNdInS3. It was derived from DFT lattice parameters and positions (PBE), using Cu Ka.

Largest 6 diffraction maxima, in order of rising 2θ, 10 to 90 degrees two-theta:
| d [Å] | I_rel |
| --- | --- |
| 7.002 | 100 |
| 3.427 | 48 |
| 2.818 | 62 |
| 2.751 | 20 |
| 2.306 | 17 |
| 2.194 | 46 |

Atomic structure:
Cell: 7.3722 7.3722 11.0034 Å, 90.00 90.00 143.54°
Element x y z (fractional)
K  0.2484  0.7516  0.7500
K  0.7516  0.2484  0.2500
Nd  0.5000  0.5000  0.0000
Nd  0.5000  0.5000  0.5000
In  0.0138  0.9862  0.2500
In  0.9862  0.0138  0.7500
S  0.1224  0.8776  0.0625
S  0.1224  0.8776  0.4375
S  0.4322  0.5678  0.2500
S  0.5678  0.4322  0.7500
S  0.8776  0.1224  0.5625
S  0.8776  0.1224  0.9375

---

(4)
The following is a calculated XRD peak list of PmGa4Pd2. It was derived from DFT lattice parameters and positions (PBE), using Cu Ka.

Largest 6 diffraction maxima, in order of rising 2θ, 10 to 90 degrees two-theta:
| d [Å] | I_rel |
| --- | --- |
| 2.910 | 29 |
| 2.725 | 28 |
| 2.301 | 49 |
| 2.206 | 100 |
| 1.547 | 20 |
| 1.309 | 20 |

Atomic structure:
Cell: 6.5079 6.5079 3.0010 Å, 90.00 90.00 90.00°
Element x y z (fractional)
Pm  0.0000  0.0000  0.0000
Ga  0.2982  0.2982  0.4786
Ga  0.2982  0.7018  0.5214
Ga  0.7018  0.2982  0.5214
Ga  0.7018  0.7018  0.4786
Pd  0.0000  0.5000  0.0000
Pd  0.5000  0.0000  0.0000

---

(5)
The following is a calculated XRD peak list of Y2Lu4In3C3. It was derived from DFT lattice parameters and positions (PBE), using Cu Ka.

Largest 6 diffraction maxima, in order of rising 2θ, 10 to 90 degrees two-theta:
| d [Å] | I_rel |
| --- | --- |
| 3.071 | 18 |
| 2.663 | 100 |
| 2.015 | 13 |
| 1.773 | 15 |
| 1.540 | 15 |
| 1.477 | 25 |

Atomic structure:
Cell: 6.1417 6.1417 16.3996 Å, 100.77 100.77 60.04°
Element x y z (fractional)
Y  0.0297  0.8657  0.5895
Y  0.1343  0.9703  0.9105
Y  0.8657  0.0297  0.0895
Y  0.9703  0.1343  0.4105
Lu  0.1931  0.3569  0.0788
Lu  0.3049  0.4759  0.4212
Lu  0.3569  0.1931  0.5788
Lu  0.4759  0.3049  0.9212
Lu  0.5241  0.6951  0.0788
Lu  0.6431  0.8069  0.4212
Lu  0.6951  0.5241  0.5788
Lu  0.8069  0.6431  0.9212
In  0.0812  0.3089  0.7500
In  0.3089  0.0812  0.2500
In  0.4695  0.5305  0.7500
In  0.5305  0.4695  0.2500
In  0.6911  0.9188  0.7500
In  0.9188  0.6911  0.2500
C  0.0000  0.5000  0.5000
C  0.1672  0.6655  0.0000
C  0.3345  0.8328  0.5000
C  0.5000  0.0000  0.0000
C  0.6655  0.1672  0.5000
C  0.8328  0.3345  0.0000

---

Please write out number 3 again, unchanged.
The following is a calculated XRD peak list of KNdInS3. It was derived from DFT lattice parameters and positions (PBE), using Cu Ka.

Largest 6 diffraction maxima, in order of rising 2θ, 10 to 90 degrees two-theta:
| d [Å] | I_rel |
| --- | --- |
| 7.002 | 100 |
| 3.427 | 48 |
| 2.818 | 62 |
| 2.751 | 20 |
| 2.306 | 17 |
| 2.194 | 46 |

Atomic structure:
Cell: 7.3722 7.3722 11.0034 Å, 90.00 90.00 143.54°
Element x y z (fractional)
K  0.2484  0.7516  0.7500
K  0.7516  0.2484  0.2500
Nd  0.5000  0.5000  0.0000
Nd  0.5000  0.5000  0.5000
In  0.0138  0.9862  0.2500
In  0.9862  0.0138  0.7500
S  0.1224  0.8776  0.0625
S  0.1224  0.8776  0.4375
S  0.4322  0.5678  0.2500
S  0.5678  0.4322  0.7500
S  0.8776  0.1224  0.5625
S  0.8776  0.1224  0.9375